Entry 1:
The following is a theoretical powder diffractogram of CeSc3Al8. It was derived from the GGA-PBE geometry in Alexandria, using Cu Kα, 1.54184 Å.
Intensities are scaled so that the largest is 1000.

Lattice parameters (Å, degrees): 5.4169 5.4169 8.9385 90.00 90.00 120.00
Space group P3m1 (No. 156)
One atom of each set of equivalent atoms:
Ce 0.0000 0.0000 0.0000 [1 per cell]
Sc 0.0000 0.0000 0.3647 [1 per cell]
Sc 0.6667 0.3333 0.4998 [1 per cell]
Sc 0.6667 0.3333 0.8613 [1 per cell]
Al 0.1621 0.3243 0.6790 [3 per cell]
Al 0.3333 0.6667 0.4383 [1 per cell]
Al 0.3333 0.6667 0.9314 [1 per cell]
Al 0.5040 0.0080 0.1909 [3 per cell]

Most intense lines, 10° ≤ 2θ ≤ 90°, sorted by position:
18.9 deg, I 310
21.4 deg, I 470
27.6 deg, I 292
33.1 deg, I 584
35.7 deg, I 1000
38.4 deg, I 172
38.9 deg, I 862
39.7 deg, I 594
60.8 deg, I 375
63.0 deg, I 200
65.7 deg, I 239
69.4 deg, I 200

***

Entry 2:
The following is a theoretical powder diffractogram of CeScAlTl. It was derived from the GGA-PBE geometry in Alexandria, using Cu Kα, 1.54184 Å.
Intensities are scaled so that the largest is 1000.

Lattice parameters (Å, degrees): 3.2848 3.2848 8.7159 90.00 90.00 90.00
Space group P4mm (No. 99)
One atom of each set of equivalent atoms:
Ce 0.0000 0.0000 0.0000 [1 per cell]
Sc 0.0000 0.0000 0.5371 [1 per cell]
Al 0.5000 0.5000 0.7499 [1 per cell]
Tl 0.5000 0.5000 0.2849 [1 per cell]

Most intense lines, 10° ≤ 2θ ≤ 90°, sorted by position:
10.1 deg, I 665
29.1 deg, I 481
30.8 deg, I 157
34.2 deg, I 1000
38.8 deg, I 371
41.5 deg, I 166
50.3 deg, I 194
56.0 deg, I 127
58.0 deg, I 187
60.1 deg, I 125
67.3 deg, I 278
72.0 deg, I 115